ThMnSbO6: simulated powder X-ray diffraction pattern (Cu Kα X-rays), based on DFT lattice parameters and positions (GGA+U).
Intensities are scaled so that the largest is 100.

Structure:
a b c (Å): 5.0288 5.0288 9.7372
angles (deg): 90.00 90.00 90.00
Space group P4_2nm (No. 102)
Symmetry-distinct sites (fractional):
Th1 0.0000 0.0000 0.0000 x2
Mn1 0.0000 0.0000 0.3347 x2
Sb1 0.0000 0.0000 0.6658 x2
O1 0.1713 0.1713 0.4971 x4
O2 0.1955 0.1955 0.8105 x4
O3 0.2083 0.2083 0.1773 x4

Peak list (12 most intense, 2θ = 5–70°, by intensity)
2θ 25.04, I = 100, (1 1 0)
2θ 32.84, I = 77, (1 0 3)
2θ 49.30, I = 66, (2 1 3)
2θ 19.87, I = 36, (1 0 1)
2θ 35.71, I = 25, (2 0 0)
2θ 62.34, I = 20, (3 0 3)
2θ 51.39, I = 16, (2 2 0)
2θ 58.00, I = 16, (3 1 0)
2θ 62.96, I = 15, (1 1 6)
2θ 31.15, I = 15, (1 1 2)
2θ 41.20, I = 14, (2 1 1)
2θ 18.22, I = 11, (0 0 2)